Entry 1:
Calculated XRD peak list of LiBiF6 for Cu Kα X-rays, from a crystal structure in Alexandria, relaxed with PBE.

Structural model:
```
data_LiBiF6
_chemical_formula_sum 'Li2 Bi2 F12'
_space_group_name_H-M_alt 'P 1'
_space_group_IT_number 1
_space_group_name_Hall 'P 1'
_cell_length_a 5.1991
_cell_length_b 5.1991
_cell_length_c 9.7880
_cell_angle_alpha 90.00
_cell_angle_beta 90.00
_cell_angle_gamma 120.00
loop_
_atom_site_label
_atom_site_type_symbol
_atom_site_fract_x
_atom_site_fract_y
_atom_site_fract_z
Li1 Li 0.3333 0.6667 0.2500
Li2 Li 0.6667 0.3333 0.7500
Bi1 Bi 0.0000 0.0000 0.0000
Bi2 Bi 0.0000 0.0000 0.5000
F1 F 0.0283 0.3334 0.1221
F2 F 0.0283 0.6949 0.3779
F3 F 0.3051 0.3334 0.3779
F4 F 0.3051 0.9717 0.1221
F5 F 0.3334 0.0283 0.6221
F6 F 0.3334 0.3051 0.8779
F7 F 0.6666 0.6949 0.1221
F8 F 0.6666 0.9717 0.3779
F9 F 0.6949 0.0283 0.8779
F10 F 0.6949 0.6666 0.6221
F11 F 0.9717 0.3051 0.6221
F12 F 0.9717 0.6666 0.8779
```

Principal peaks in the range 10 to 90 degrees two-theta, by angle:
- 18.13 deg, I = 387
- 19.72 deg, I = 1000
- 26.91 deg, I = 953
- 39.24 deg, I = 404
- 42.02 deg, I = 269
- 51.27 deg, I = 266

Entry 2:
Calculated XRD peak list of ZrVI for Cu Kα X-rays, from a crystal structure in Alexandria, relaxed with PBE.

Structural model:
```
data_ZrVI
_chemical_formula_sum 'Zr2 V2 I2'
_space_group_name_H-M_alt 'P 1'
_space_group_IT_number 1
_space_group_name_Hall 'P 1'
_cell_length_a 3.5045
_cell_length_b 3.5118
_cell_length_c 13.1432
_cell_angle_alpha 93.17
_cell_angle_beta 93.05
_cell_angle_gamma 108.02
loop_
_atom_site_label
_atom_site_type_symbol
_atom_site_fract_x
_atom_site_fract_y
_atom_site_fract_z
Zr1 Zr 0.1639 0.0604 0.3178
Zr2 Zr 0.8361 0.9396 0.6822
V1 V 0.2985 0.3196 0.5412
V2 V 0.7015 0.6804 0.4588
I1 I 0.2458 0.6380 0.8416
I2 I 0.7542 0.3620 0.1584
```

Principal peaks in the range 10 to 90 degrees two-theta, by angle:
- 13.53 deg, I = 585
- 28.15 deg, I = 610
- 29.22 deg, I = 831
- 31.05 deg, I = 471
- 32.26 deg, I = 1000
- 35.12 deg, I = 738

Entry 3:
Calculated XRD peak list of AcGe2As for Cu Kα X-rays, from a crystal structure in Alexandria, relaxed with PBE.

Structural model:
```
data_AcGe2As
_chemical_formula_sum 'Ac3 Ge6 As3'
_space_group_name_H-M_alt 'P 1'
_space_group_IT_number 1
_space_group_name_Hall 'P 1'
_cell_length_a 4.7309
_cell_length_b 4.7309
_cell_length_c 15.7413
_cell_angle_alpha 90.00
_cell_angle_beta 90.00
_cell_angle_gamma 120.00
loop_
_atom_site_label
_atom_site_type_symbol
_atom_site_fract_x
_atom_site_fract_y
_atom_site_fract_z
Ac1 Ac 0.0000 0.0000 0.0000
Ac2 Ac 0.3333 0.6667 0.6667
Ac3 Ac 0.6667 0.3333 0.3333
Ge1 Ge 0.0000 0.0000 0.2047
Ge2 Ge 0.0000 0.0000 0.7953
Ge3 Ge 0.3333 0.6667 0.4619
Ge4 Ge 0.3333 0.6667 0.8714
Ge5 Ge 0.6667 0.3333 0.1286
Ge6 Ge 0.6667 0.3333 0.5381
As1 As 0.0000 0.0000 0.5000
As2 As 0.3333 0.6667 0.1667
As3 As 0.6667 0.3333 0.8333
```

Principal peaks in the range 10 to 90 degrees two-theta, by angle:
- 22.42 deg, I = 601
- 24.49 deg, I = 414
- 31.52 deg, I = 1000
- 35.98 deg, I = 461
- 38.04 deg, I = 934
- 52.06 deg, I = 385

Entry 4:
Calculated XRD peak list of Tl2MoBr for Cu Kα X-rays, from a crystal structure in Alexandria, relaxed with PBE.

Structural model:
```
data_Tl2MoBr
_chemical_formula_sum 'Tl4 Mo2 Br2'
_space_group_name_H-M_alt 'P 1'
_space_group_IT_number 1
_space_group_name_Hall 'P 1'
_cell_length_a 3.2753
_cell_length_b 5.8214
_cell_length_c 10.8357
_cell_angle_alpha 90.00
_cell_angle_beta 90.00
_cell_angle_gamma 90.00
loop_
_atom_site_label
_atom_site_type_symbol
_atom_site_fract_x
_atom_site_fract_y
_atom_site_fract_z
Tl1 Tl 0.0000 0.0000 0.0000
Tl2 Tl 0.0000 0.5000 0.2678
Tl3 Tl 0.5000 0.0000 0.2678
Tl4 Tl 0.5000 0.5000 0.0000
Mo1 Mo 0.0000 0.5000 0.7772
Mo2 Mo 0.5000 0.0000 0.7772
Br1 Br 0.0000 0.0000 0.5969
Br2 Br 0.5000 0.5000 0.5969
```

Principal peaks in the range 10 to 90 degrees two-theta, by angle:
- 24.65 deg, I = 197
- 30.72 deg, I = 428
- 32.44 deg, I = 180
- 33.07 deg, I = 205
- 35.55 deg, I = 1000
- 57.79 deg, I = 247

Entry 5:
Calculated XRD peak list of Er2Be2CdPt5 for Cu Kα X-rays, from a crystal structure in Alexandria, relaxed with PBE.

Structural model:
```
data_Er2Be2CdPt5
_chemical_formula_sum 'Er4 Be4 Cd2 Pt10'
_space_group_name_H-M_alt 'P 1'
_space_group_IT_number 1
_space_group_name_Hall 'P 1'
_cell_length_a 9.5876
_cell_length_b 9.5876
_cell_length_c 3.5427
_cell_angle_alpha 90.00
_cell_angle_beta 90.00
_cell_angle_gamma 90.00
loop_
_atom_site_label
_atom_site_type_symbol
_atom_site_fract_x
_atom_site_fract_y
_atom_site_fract_z
Er1 Er 0.1779 0.3221 0.0000
Er2 Er 0.3221 0.8221 0.0000
Er3 Er 0.6779 0.1779 0.0000
Er4 Er 0.8221 0.6779 0.0000
Be1 Be 0.1185 0.6185 0.0000
Be2 Be 0.3815 0.1185 0.0000
Be3 Be 0.6185 0.8815 0.0000
Be4 Be 0.8815 0.3815 0.0000
Cd1 Cd 0.0000 0.0000 0.0000
Cd2 Cd 0.5000 0.5000 0.0000
Pt1 Pt 0.0000 0.5000 0.5000
Pt2 Pt 0.0689 0.7807 0.5000
Pt3 Pt 0.2193 0.0689 0.5000
Pt4 Pt 0.2807 0.5689 0.5000
Pt5 Pt 0.4311 0.2807 0.5000
Pt6 Pt 0.5000 0.0000 0.5000
Pt7 Pt 0.5689 0.7193 0.5000
Pt8 Pt 0.7193 0.4311 0.5000
Pt9 Pt 0.7807 0.9311 0.5000
Pt10 Pt 0.9311 0.2193 0.5000
```

Principal peaks in the range 10 to 90 degrees two-theta, by angle:
- 32.79 deg, I = 842
- 36.69 deg, I = 397
- 38.72 deg, I = 791
- 39.11 deg, I = 1000
- 42.15 deg, I = 362
- 42.51 deg, I = 409

Entry 6:
Calculated XRD peak list of Pt5I12Cl for Cu Kα X-rays, from a crystal structure in Alexandria, relaxed with PBE.

Structural model:
```
data_Pt5I12Cl
_chemical_formula_sum 'Pt5 I12 Cl1'
_space_group_name_H-M_alt 'P 1'
_space_group_IT_number 1
_space_group_name_Hall 'P 1'
_cell_length_a 5.8572
_cell_length_b 8.8586
_cell_length_c 14.8692
_cell_angle_alpha 94.51
_cell_angle_beta 97.78
_cell_angle_gamma 104.18
loop_
_atom_site_label
_atom_site_type_symbol
_atom_site_fract_x
_atom_site_fract_y
_atom_site_fract_z
Pt1 Pt 0.0000 0.0000 0.0000
Pt2 Pt 0.2863 0.1458 0.4736
Pt3 Pt 0.3332 0.6664 0.9998
Pt4 Pt 0.6668 0.3336 0.0002
Pt5 Pt 0.7137 0.8542 0.5264
I1 I 0.0734 0.7863 0.8826
I2 I 0.1015 0.0520 0.6174
I3 I 0.2611 0.8790 0.1171
I4 I 0.3606 0.6554 0.4220
I5 I 0.4093 0.4547 0.8812
I6 I 0.4293 0.2153 0.3203
I7 I 0.5707 0.7847 0.6797
I8 I 0.5907 0.5453 0.1188
I9 I 0.6394 0.3446 0.5780
I10 I 0.7389 0.1210 0.8829
I11 I 0.8985 0.9480 0.3826
I12 I 0.9266 0.2137 0.1174
Cl1 Cl 0.0000 0.5000 0.5000
```

Principal peaks in the range 10 to 90 degrees two-theta, by angle:
- 12.10 deg, I = 1000
- 20.89 deg, I = 373
- 22.41 deg, I = 431
- 23.51 deg, I = 338
- 41.01 deg, I = 271
- 41.63 deg, I = 239

Entry 7:
Calculated XRD peak list of Pr4Si3S12 for Cu Kα X-rays, from a crystal structure in Alexandria, relaxed with PBE.

Structural model:
```
data_Pr4Si3S12
_chemical_formula_sum 'Pr8 Si6 S24'
_space_group_name_H-M_alt 'P 1'
_space_group_IT_number 1
_space_group_name_Hall 'P 1'
_cell_length_a 11.4892
_cell_length_b 11.4892
_cell_length_c 11.4892
_cell_angle_alpha 114.75
_cell_angle_beta 114.75
_cell_angle_gamma 114.75
loop_
_atom_site_label
_atom_site_type_symbol
_atom_site_fract_x
_atom_site_fract_y
_atom_site_fract_z
Pr1 Pr 0.0000 0.0000 0.0000
Pr2 Pr 0.2145 0.4393 0.9776
Pr3 Pr 0.4393 0.9776 0.2145
Pr4 Pr 0.4776 0.9393 0.7145
Pr5 Pr 0.5000 0.5000 0.5000
Pr6 Pr 0.7145 0.4776 0.9393
Pr7 Pr 0.9393 0.7145 0.4776
Pr8 Pr 0.9776 0.2145 0.4393
Si1 Si 0.1447 0.9725 0.3572
Si2 Si 0.3572 0.1447 0.9725
Si3 Si 0.4725 0.6447 0.8572
Si4 Si 0.6447 0.8572 0.4725
Si5 Si 0.8572 0.4725 0.6447
Si6 Si 0.9725 0.3572 0.1447
S1 S 0.0840 0.6189 0.3508
S2 S 0.0924 0.8070 0.1263
S3 S 0.1189 0.5840 0.8508
S4 S 0.1263 0.0924 0.8070
S5 S 0.1852 0.3753 0.1888
S6 S 0.1888 0.1852 0.3753
S7 S 0.2883 0.8977 0.8229
S8 S 0.3070 0.5924 0.6263
S9 S 0.3229 0.3977 0.7883
S10 S 0.3508 0.0840 0.6189
S11 S 0.3753 0.1888 0.1852
S12 S 0.3977 0.7883 0.3229
S13 S 0.5840 0.8508 0.1189
S14 S 0.5924 0.6263 0.3070
S15 S 0.6189 0.3508 0.0840
S16 S 0.6263 0.3070 0.5924
S17 S 0.6852 0.6888 0.8753
S18 S 0.6888 0.8753 0.6852
S19 S 0.7883 0.3229 0.3977
S20 S 0.8070 0.1263 0.0924
S21 S 0.8229 0.2883 0.8977
S22 S 0.8508 0.1189 0.5840
S23 S 0.8753 0.6852 0.6888
S24 S 0.8977 0.8229 0.2883
```

Principal peaks in the range 10 to 90 degrees two-theta, by angle:
- 17.84 deg, I = 709
- 24.34 deg, I = 1000
- 26.28 deg, I = 447
- 32.24 deg, I = 527
- 34.82 deg, I = 527
- 37.17 deg, I = 433

Entry 8:
Calculated XRD peak list of SrMnH5 for Cu Kα X-rays, from a crystal structure in Alexandria, relaxed with PBE.

Structural model:
```
data_SrMnH5
_chemical_formula_sum 'Sr1 Mn1 H5'
_space_group_name_H-M_alt 'P 1'
_space_group_IT_number 1
_space_group_name_Hall 'P 1'
_cell_length_a 3.2121
_cell_length_b 3.2121
_cell_length_c 6.2937
_cell_angle_alpha 90.00
_cell_angle_beta 90.00
_cell_angle_gamma 90.00
loop_
_atom_site_label
_atom_site_type_symbol
_atom_site_fract_x
_atom_site_fract_y
_atom_site_fract_z
Sr1 Sr 0.0000 0.0000 0.0000
Mn1 Mn 0.0000 0.0000 0.5000
H1 H 0.0000 0.5000 0.3519
H2 H 0.0000 0.5000 0.6481
H3 H 0.5000 0.0000 0.3519
H4 H 0.5000 0.0000 0.6481
H5 H 0.5000 0.5000 0.0000
```

Principal peaks in the range 10 to 90 degrees two-theta, by angle:
- 27.77 deg, I = 1000
- 28.36 deg, I = 483
- 39.68 deg, I = 364
- 40.11 deg, I = 731
- 49.49 deg, I = 407
- 72.31 deg, I = 242

Entry 9:
Calculated XRD peak list of PmPr4Pt for Cu Kα X-rays, from a crystal structure in Alexandria, relaxed with PBE.

Structural model:
```
data_PmPr4Pt
_chemical_formula_sum 'Pm2 Pr8 Pt2'
_space_group_name_H-M_alt 'P 1'
_space_group_IT_number 1
_space_group_name_Hall 'P 1'
_cell_length_a 11.4872
_cell_length_b 11.4872
_cell_length_c 6.5824
_cell_angle_alpha 90.00
_cell_angle_beta 90.00
_cell_angle_gamma 153.08
loop_
_atom_site_label
_atom_site_type_symbol
_atom_site_fract_x
_atom_site_fract_y
_atom_site_fract_z
Pm1 Pm 0.1308 0.8692 0.5000
Pm2 Pm 0.8692 0.1308 0.0000
Pr1 Pr 0.0713 0.9287 0.0229
Pr2 Pr 0.2631 0.7369 0.8698
Pr3 Pr 0.3365 0.6635 0.3638
Pr4 Pr 0.4734 0.5266 0.1418
Pr5 Pr 0.5266 0.4734 0.6418
Pr6 Pr 0.6635 0.3365 0.8638
Pr7 Pr 0.7369 0.2631 0.3698
Pr8 Pr 0.9287 0.0713 0.5229
Pt1 Pt 0.3940 0.6060 0.7762
Pt2 Pt 0.6060 0.3940 0.2762
```

Principal peaks in the range 10 to 90 degrees two-theta, by angle:
- 28.27 deg, I = 302
- 29.37 deg, I = 1000
- 32.19 deg, I = 590
- 33.51 deg, I = 658
- 34.18 deg, I = 371
- 35.48 deg, I = 588

Entry 10:
Calculated XRD peak list of AlCd3 for Cu Kα X-rays, from a crystal structure in Alexandria, relaxed with PBE.

Structural model:
```
data_AlCd3
_chemical_formula_sum 'Al1 Cd3'
_space_group_name_H-M_alt 'P 1'
_space_group_IT_number 1
_space_group_name_Hall 'P 1'
_cell_length_a 3.0677
_cell_length_b 3.0677
_cell_length_c 10.5533
_cell_angle_alpha 90.00
_cell_angle_beta 90.00
_cell_angle_gamma 120.00
loop_
_atom_site_label
_atom_site_type_symbol
_atom_site_fract_x
_atom_site_fract_y
_atom_site_fract_z
Al1 Al 0.0000 0.0000 0.0000
Cd1 Cd 0.0000 0.0000 0.5000
Cd2 Cd 0.6667 0.3333 0.2387
Cd3 Cd 0.6667 0.3333 0.7613
```

Principal peaks in the range 10 to 90 degrees two-theta, by angle:
- 33.74 deg, I = 268
- 33.98 deg, I = 285
- 37.92 deg, I = 1000
- 48.64 deg, I = 172
- 63.42 deg, I = 186
- 71.09 deg, I = 185

Entry 11:
Calculated XRD peak list of Pr3ErC8 for Cu Kα X-rays, from a crystal structure in Alexandria, relaxed with PBE.

Structural model:
```
data_Pr3ErC8
_chemical_formula_sum 'Pr3 Er1 C8'
_space_group_name_H-M_alt 'P 1'
_space_group_IT_number 1
_space_group_name_Hall 'P 1'
_cell_length_a 6.4465
_cell_length_b 6.4465
_cell_length_c 6.4465
_cell_angle_alpha 110.75
_cell_angle_beta 110.75
_cell_angle_gamma 106.95
loop_
_atom_site_label
_atom_site_type_symbol
_atom_site_fract_x
_atom_site_fract_y
_atom_site_fract_z
Pr1 Pr 0.0000 0.0000 0.0000
Pr2 Pr 0.2500 0.7500 0.5000
Pr3 Pr 0.7500 0.2500 0.5000
Er1 Er 0.5000 0.5000 0.0000
C1 C 0.1139 0.1139 0.4737
C2 C 0.1257 0.1257 0.6820
C3 C 0.3598 0.8861 0.0000
C4 C 0.4437 0.4437 0.3180
C5 C 0.5563 0.8743 0.0000
C6 C 0.6402 0.6402 0.5263
C7 C 0.8743 0.5563 0.0000
C8 C 0.8861 0.3598 0.0000
```

Principal peaks in the range 10 to 90 degrees two-theta, by angle:
- 24.30 deg, I = 627
- 28.96 deg, I = 1000
- 34.63 deg, I = 378
- 45.75 deg, I = 630
- 53.95 deg, I = 197
- 69.91 deg, I = 164

Entry 12:
Calculated XRD peak list of Mo3Os2 for Cu Kα X-rays, from a crystal structure in Alexandria, relaxed with PBE.

Structural model:
```
data_Mo3Os2
_chemical_formula_sum 'Mo18 Os12'
_space_group_name_H-M_alt 'P 1'
_space_group_IT_number 1
_space_group_name_Hall 'P 1'
_cell_length_a 9.6475
_cell_length_b 9.6475
_cell_length_c 4.9707
_cell_angle_alpha 90.00
_cell_angle_beta 90.00
_cell_angle_gamma 90.06
loop_
_atom_site_label
_atom_site_type_symbol
_atom_site_fract_x
_atom_site_fract_y
_atom_site_fract_z
Mo1 Mo 0.0387 0.6300 0.0014
Mo2 Mo 0.1047 0.8953 0.0000
Mo3 Mo 0.1315 0.4635 0.5011
Mo4 Mo 0.1801 0.1801 0.2508
Mo5 Mo 0.1807 0.1807 0.7535
Mo6 Mo 0.3203 0.6797 0.7513
Mo7 Mo 0.3700 0.9613 0.0014
Mo8 Mo 0.3954 0.3954 0.5042
Mo9 Mo 0.4635 0.1315 0.5011
Mo10 Mo 0.5365 0.8685 0.5011
Mo11 Mo 0.6046 0.6046 0.5042
Mo12 Mo 0.6300 0.0387 0.0014
Mo13 Mo 0.6797 0.3203 0.7513
Mo14 Mo 0.8193 0.8193 0.7535
Mo15 Mo 0.8199 0.8199 0.2508
Mo16 Mo 0.8685 0.5365 0.5011
Mo17 Mo 0.8953 0.1047 0.0000
Mo18 Mo 0.9613 0.3700 0.0014
Os1 Os 0.0000 0.0000 0.5043
Os2 Os 0.0704 0.7359 0.4988
Os3 Os 0.2362 0.4326 0.0050
Os4 Os 0.2641 0.9296 0.4988
Os5 Os 0.3202 0.6798 0.2533
Os6 Os 0.4326 0.2362 0.0050
Os7 Os 0.5000 0.5000 0.0070
Os8 Os 0.5674 0.7638 0.0050
Os9 Os 0.6798 0.3202 0.2533
Os10 Os 0.7359 0.0704 0.4988
Os11 Os 0.7638 0.5674 0.0050
Os12 Os 0.9296 0.2641 0.4988
```

Principal peaks in the range 10 to 90 degrees two-theta, by angle:
- 20.10 deg, I = 315
- 38.47 deg, I = 860
- 39.64 deg, I = 333
- 41.94 deg, I = 725
- 42.71 deg, I = 1000
- 43.78 deg, I = 583

- What is the formula in the first record?
  LiBiF6

- What is the formula in the eleventh record?
  Pr3ErC8